Entry 1:
The following is a theoretical XRD peak list of NbNi3. It was derived from a DFT-relaxed cell (GGA-PBE, the Materials Project), using a wavelength of 1.5418 Å.
No peak broadening, texture or thermal motion is included.

Top 6 peaks for 2θ from 10° to 80°, in order of rising 2θ:
2theta  d (Å)  Rel. int.
24.08  3.695  4
34.32  2.613  3
42.36  2.134  100
49.32  1.848  47
55.61  1.653  2
72.32  1.307  28

Structural model:
Cell: 3.6955 3.6955 3.6955 Å, 90.00 90.00 90.00°
Atoms (fractional coordinates):
Nb  0.0000  0.0000  0.0000
Ni  0.0000  0.5000  0.5000
Ni  0.5000  0.0000  0.5000
Ni  0.5000  0.5000  0.0000


Entry 2:
The following is a theoretical XRD peak list of NbNi. It was derived from a DFT-relaxed cell (GGA-PBE, the Materials Project), using a wavelength of 1.5418 Å.
No peak broadening, texture or thermal motion is included.

Top 6 peaks for 2θ from 10° to 80°, in order of rising 2θ:
2theta  d (Å)  Rel. int.
36.66  2.451  77
39.92  2.258  54
42.10  2.147  100
42.73  2.116  36
42.96  2.105  55
46.01  1.972  38

Structural model:
Cell: 18.0026 18.0026 18.0026 Å, 15.65 15.65 15.65°
Atoms (fractional coordinates):
Nb  0.0000  0.0000  0.0000
Nb  0.0845  0.0845  0.0845
Nb  0.1730  0.1730  0.1730
Nb  0.2248  0.2248  0.2248
Nb  0.2737  0.2737  0.2737
Nb  0.3266  0.3266  0.3266
Nb  0.4180  0.4180  0.4180
Nb  0.5820  0.5820  0.5820
Nb  0.6734  0.6734  0.6734
Nb  0.7263  0.7263  0.7263
Nb  0.7752  0.7752  0.7752
Nb  0.8270  0.8270  0.8270
Nb  0.9155  0.9155  0.9155
Ni  0.2037  0.7042  0.7042
Ni  0.2085  0.2085  0.7024
Ni  0.2085  0.7024  0.2085
Ni  0.2958  0.2958  0.7963
Ni  0.2958  0.7963  0.2958
Ni  0.2976  0.7915  0.7915
Ni  0.5000  0.5000  0.5000
Ni  0.7024  0.2085  0.2085
Ni  0.7042  0.2037  0.7042
Ni  0.7042  0.7042  0.2037
Ni  0.7915  0.2976  0.7915
Ni  0.7915  0.7915  0.2976
Ni  0.7963  0.2958  0.2958


Entry 3:
The following is a theoretical XRD peak list of NbNi. It was derived from a DFT-relaxed cell (GGA-PBE, the Materials Project), using a wavelength of 1.5418 Å.
No peak broadening, texture or thermal motion is included.

Top 6 peaks for 2θ from 10° to 80°, in order of rising 2θ:
2theta  d (Å)  Rel. int.
36.82  2.441  28
41.93  2.155  23
42.56  2.124  100
57.01  1.615  15
66.33  1.409  17
77.03  1.238  16

Structural model:
Cell: 2.8186 2.8186 4.3095 Å, 90.00 90.00 120.00°
Atoms (fractional coordinates):
Nb  0.0000  0.0000  0.0000
Ni  0.6667  0.3333  0.5000


Entry 4:
The following is a theoretical XRD peak list of NbNi3. It was derived from a DFT-relaxed cell (GGA-PBE, the Materials Project), using a wavelength of 1.5418 Å.
No peak broadening, texture or thermal motion is included.

Top 6 peaks for 2θ from 10° to 80°, in order of rising 2θ:
2theta  d (Å)  Rel. int.
40.41  2.232  28
42.44  2.130  44
44.91  2.018  59
45.90  1.977  100
60.04  1.541  17
72.01  1.311  16

Structural model:
Cell: 4.2597 5.1119 4.5837 Å, 90.00 90.00 90.00°
Atoms (fractional coordinates):
Nb  0.2500  0.2500  0.1503
Nb  0.7500  0.7500  0.8497
Ni  0.2500  0.0009  0.6591
Ni  0.2500  0.4991  0.6591
Ni  0.2500  0.7500  0.1815
Ni  0.7500  0.2500  0.8185
Ni  0.7500  0.5009  0.3409
Ni  0.7500  0.9991  0.3409


Entry 5:
The following is a theoretical XRD peak list of NbNi2. It was derived from a DFT-relaxed cell (GGA-PBE, the Materials Project), using a wavelength of 1.5418 Å.
No peak broadening, texture or thermal motion is included.

Top 6 peaks for 2θ from 10° to 80°, in order of rising 2θ:
2theta  d (Å)  Rel. int.
37.51  2.398  39
40.82  2.211  51
44.29  2.045  100
45.17  2.007  48
72.40  1.305  24
76.11  1.251  20

Structural model:
Cell: 4.7957 4.7957 15.6664 Å, 90.00 90.00 120.00°
Atoms (fractional coordinates):
Nb  0.0000  0.0000  0.0975
Nb  0.0000  0.0000  0.4025
Nb  0.0000  0.0000  0.5975
Nb  0.0000  0.0000  0.9025
Nb  0.3333  0.6667  0.1541
Nb  0.3333  0.6667  0.3459
Nb  0.6667  0.3333  0.6541
Nb  0.6667  0.3333  0.8459
Ni  0.0000  0.5000  0.0000
Ni  0.0000  0.5000  0.5000
Ni  0.1644  0.3288  0.7500
Ni  0.1644  0.8356  0.7500
Ni  0.3288  0.1644  0.2500
Ni  0.3333  0.6667  0.6241
Ni  0.3333  0.6667  0.8759
Ni  0.5000  0.0000  0.0000
Ni  0.5000  0.0000  0.5000
Ni  0.5000  0.5000  0.0000
Ni  0.5000  0.5000  0.5000
Ni  0.6667  0.3333  0.1241
Ni  0.6667  0.3333  0.3759
Ni  0.6712  0.8356  0.7500
Ni  0.8356  0.1644  0.2500
Ni  0.8356  0.6712  0.2500


Entry 6:
The following is a theoretical XRD peak list of NbNi2. It was derived from a DFT-relaxed cell (GGA-PBE, the Materials Project), using a wavelength of 1.5418 Å.
No peak broadening, texture or thermal motion is included.

Top 6 peaks for 2θ from 10° to 80°, in order of rising 2θ:
2theta  d (Å)  Rel. int.
37.54  2.396  39
41.02  2.201  66
44.40  2.041  100
45.22  2.005  62
70.10  1.342  24
76.48  1.246  26

Structural model:
Cell: 4.7920 4.7920 7.7864 Å, 90.00 90.00 120.00°
Atoms (fractional coordinates):
Nb  0.3333  0.6667  0.0552
Nb  0.3333  0.6667  0.4448
Nb  0.6667  0.3333  0.5552
Nb  0.6667  0.3333  0.9448
Ni  0.0000  0.0000  0.0000
Ni  0.0000  0.0000  0.5000
Ni  0.1689  0.3378  0.7500
Ni  0.1689  0.8311  0.7500
Ni  0.3378  0.1689  0.2500
Ni  0.6622  0.8311  0.7500
Ni  0.8311  0.1689  0.2500
Ni  0.8311  0.6622  0.2500


Entry 7:
The following is a theoretical XRD peak list of NbNi2. It was derived from a DFT-relaxed cell (GGA-PBE, the Materials Project), using a wavelength of 1.5418 Å.
No peak broadening, texture or thermal motion is included.

Top 6 peaks for 2θ from 10° to 80°, in order of rising 2θ:
2theta  d (Å)  Rel. int.
37.53  2.396  42
44.32  2.044  100
46.41  1.957  28
54.12  1.694  1
67.73  1.384  14
72.46  1.304  29

Structural model:
Cell: 4.7927 4.7927 4.7927 Å, 60.00 60.00 60.00°
Atoms (fractional coordinates):
Nb  0.1250  0.1250  0.1250
Nb  0.8750  0.8750  0.8750
Ni  0.0000  0.5000  0.5000
Ni  0.5000  0.0000  0.5000
Ni  0.5000  0.5000  0.0000
Ni  0.5000  0.5000  0.5000


Entry 8:
The following is a theoretical XRD peak list of NbNi3. It was derived from a DFT-relaxed cell (GGA-PBE, the Materials Project), using a wavelength of 1.5418 Å.
No peak broadening, texture or thermal motion is included.

Top 6 peaks for 2θ from 10° to 80°, in order of rising 2θ:
2theta  d (Å)  Rel. int.
27.24  3.274  4
42.60  2.122  100
48.44  1.879  17
50.17  1.818  30
72.30  1.307  19
73.67  1.286  9

Structural model:
Cell: 4.5541 4.5541 4.5541 Å, 132.93 132.93 68.76°
Atoms (fractional coordinates):
Nb  0.0000  0.0000  0.0000
Ni  0.2500  0.7500  0.5000
Ni  0.5000  0.5000  0.0000
Ni  0.7500  0.2500  0.5000


Entry 9:
The following is a theoretical XRD peak list of NbNi3. It was derived from a DFT-relaxed cell (GGA-PBE, the Materials Project), using a wavelength of 1.5418 Å.
No peak broadening, texture or thermal motion is included.

Top 6 peaks for 2θ from 10° to 80°, in order of rising 2θ:
2theta  d (Å)  Rel. int.
26.35  3.383  3
30.52  2.929  1
43.70  2.071  100
51.75  1.766  1
63.52  1.465  15
70.00  1.344  1

Structural model:
Cell: 4.1428 4.1428 4.1428 Å, 60.00 60.00 60.00°
Atoms (fractional coordinates):
Nb  0.0000  0.0000  0.0000
Ni  0.2500  0.2500  0.2500
Ni  0.5000  0.5000  0.5000
Ni  0.7500  0.7500  0.7500


Entry 10:
The following is a theoretical XRD peak list of NbNi4P16. It was derived from a DFT-relaxed cell (GGA-PBE, the Materials Project), using a wavelength of 1.5418 Å.
No peak broadening, texture or thermal motion is included.

Top 6 peaks for 2θ from 10° to 80°, in order of rising 2θ:
2theta  d (Å)  Rel. int.
24.68  3.607  63
32.05  2.793  100
32.31  2.771  78
37.02  2.429  56
50.08  1.821  66
53.49  1.713  62

Structural model:
Cell: 10.2897 10.2897 11.2267 Å, 100.24 100.24 32.31°
Atoms (fractional coordinates):
Nb  0.1059  0.8941  0.7500
Nb  0.8941  0.1059  0.2500
Ni  0.1943  0.3043  0.1291
Ni  0.2979  0.4875  0.4265
Ni  0.3043  0.1943  0.6291
Ni  0.4875  0.2979  0.9265
Ni  0.5125  0.7021  0.0735
Ni  0.6957  0.8057  0.3709
Ni  0.7021  0.5125  0.5735
Ni  0.8057  0.6957  0.8709
P  0.0592  0.3860  0.3132
P  0.1050  0.1790  0.5416
P  0.1206  0.1259  0.8390
P  0.1259  0.1206  0.3390
P  0.1587  0.7144  0.9206
P  0.1790  0.1050  0.0416
P  0.2214  0.3535  0.9466
P  0.2280  0.4881  0.2194
P  0.2396  0.7525  0.3951
P  0.2475  0.7604  0.1049
P  0.2856  0.8413  0.5794
P  0.3535  0.2214  0.4466
P  0.3860  0.0592  0.8132
P  0.3881  0.4858  0.6313
P  0.4858  0.3881  0.1313
P  0.4881  0.2280  0.7194
P  0.5119  0.7720  0.2806
P  0.5142  0.6119  0.8687
P  0.6119  0.5142  0.3687
P  0.6140  0.9408  0.1868
P  0.6465  0.7786  0.5534
P  0.7144  0.1587  0.4206
P  0.7525  0.2396  0.8951
P  0.7604  0.2475  0.6049
P  0.7720  0.5119  0.7806
P  0.7786  0.6465  0.0534
P  0.8210  0.8950  0.9584
P  0.8413  0.2856  0.0794
P  0.8741  0.8794  0.6610
P  0.8794  0.8741  0.1610
P  0.8950  0.8210  0.4584
P  0.9408  0.6140  0.6868


Entry 11:
The following is a theoretical XRD peak list of NbNiP2. It was derived from a DFT-relaxed cell (GGA-PBE, the Materials Project), using a wavelength of 1.5418 Å.
No peak broadening, texture or thermal motion is included.

Top 6 peaks for 2θ from 10° to 80°, in order of rising 2θ:
2theta  d (Å)  Rel. int.
27.42  3.253  27
27.55  3.238  40
33.10  2.707  32
40.53  2.226  21
43.42  2.084  100
43.59  2.077  53

Structural model:
Cell: 5.4132 3.3578 12.2070 Å, 90.00 90.00 90.00°
Atoms (fractional coordinates):
Nb  0.0159  0.2500  0.1703
Nb  0.4841  0.7500  0.6703
Nb  0.5159  0.2500  0.3297
Nb  0.9841  0.7500  0.8297
Ni  0.0192  0.2500  0.4150
Ni  0.4808  0.7500  0.9150
Ni  0.5192  0.2500  0.0850
Ni  0.9808  0.7500  0.5850
P  0.1362  0.2500  0.6902
P  0.1918  0.2500  0.9639
P  0.3082  0.7500  0.4639
P  0.3638  0.7500  0.1902
P  0.6362  0.2500  0.8098
P  0.6918  0.2500  0.5361
P  0.8082  0.7500  0.0361
P  0.8638  0.7500  0.3098


Entry 12:
The following is a theoretical XRD peak list of Nb4NiP. It was derived from a DFT-relaxed cell (GGA-PBE, the Materials Project), using a wavelength of 1.5418 Å.
No peak broadening, texture or thermal motion is included.

Top 6 peaks for 2θ from 10° to 80°, in order of rising 2θ:
2theta  d (Å)  Rel. int.
37.26  2.413  100
41.70  2.166  17
46.59  1.949  27
46.84  1.940  22
65.53  1.424  18
75.75  1.256  16

Structural model:
Cell: 6.1643 6.1643 4.9912 Å, 90.00 90.00 90.00°
Atoms (fractional coordinates):
Nb  0.1604  0.3357  0.0000
Nb  0.1604  0.6643  0.5000
Nb  0.3357  0.1604  0.5000
Nb  0.3357  0.8396  0.0000
Nb  0.6643  0.1604  0.0000
Nb  0.6643  0.8396  0.5000
Nb  0.8396  0.3357  0.5000
Nb  0.8396  0.6643  0.0000
Ni  0.5000  0.5000  0.2500
Ni  0.5000  0.5000  0.7500
P  0.0000  0.0000  0.2500
P  0.0000  0.0000  0.7500